Simulated PXRD pattern
Compound: Hg12RhF7
Radiation: λ = 1.5418 Å (Cu Kα)
Structure: a structure optimized by DFT (GGA-PBE)
Lines closer than 0.1° are merged.

Main lines, by angle (10° ≤ 2θ ≤ 80°):
| h k l | 2theta | Rel. int. |
| --- | --- | --- |
| 0 3 0 | 24.89 | 605 |
| -1 1 2 | 26.35 | 424 |
| 1 1 -2 | 27.40 | 1000 |
| 1 0 2 | 29.59 | 532 |
| 0 2 3 | 30.63 | 287 |
| 0 0 4 | 32.59 | 261 |
| 0 4 -1 | 33.78 | 400 |
| 1 -1 3 | 35.48 | 370 |
| -1 4 2 | 41.12 | 280 |
| 1 4 1 | 45.10 | 473 |

Cell and atoms:
```
data_Hg12RhF7
_cell_length_a 4.065
_cell_length_b 10.837
_cell_length_c 11.138
_cell_angle_alpha 93.51
_cell_angle_beta 98.14
_cell_angle_gamma 97.02
_symmetry_space_group_name_H-M 'P -1'
_symmetry_Int_Tables_number 2
loop_
_symmetry_equiv_pos_as_xyz
'x,y,z'
'-x,-y,-z'
loop_
_atom_site_label
_atom_site_type_symbol
_atom_site_fract_x
_atom_site_fract_y
_atom_site_fract_z
Hg1 Hg 0.043 0.352 0.425
Hg2 Hg 0.208 0.106 0.351
Hg3 Hg 0.223 0.847 0.413
Hg4 Hg 0.362 0.181 0.915
Hg5 Hg 0.388 0.475 0.673
Hg6 Hg 0.405 0.915 0.860
Rh1 Rh 0.000 0.500 0.000
F1 F 0.058 0.687 0.021
F2 F 0.069 0.492 0.182
F3 F 0.366 0.261 0.724
F4 F 0.500 0.500 0.000
```